(1)
For Cs2NaBiF6, a DFT-relaxed cell (GGA-PBE, the Materials Project) gives the theoretical X-ray powder pattern in this record (Cu Kα X-rays).

Top 12 peaks for 2θ from 5° to 70°, in order of rising 2θ:
2theta	I_rel	h k l
16.43	35	1 1 1
26.99	100	2 2 0
31.76	21	3 1 1
33.21	4	2 2 2
38.53	35	4 0 0
42.15	9	3 3 1
47.67	43	4 2 2
50.76	8	5 1 1
55.63	23	4 4 0
58.42	8	5 3 1
62.90	19	6 2 0
69.71	8	4 4 4

Crystal structure
a = 9.3453 Å, b = 9.3453 Å, c = 9.3453 Å
α = 90.00°, β = 90.00°, γ = 90.00°
Space group Fm-3m (No. 225)
Asymmetric unit:
Cs  0.2500  0.2500  0.2500 (multiplicity 8)
Na  0.0000  0.0000  0.0000 (multiplicity 4)
Bi  0.0000  0.0000  0.5000 (multiplicity 4)
F  0.0000  0.0000  0.2555 (multiplicity 24)


(2)
For CsRb2BiF6, a DFT-relaxed cell (GGA-PBE, the Materials Project) gives the theoretical X-ray powder pattern in this record (Cu Kα X-rays).

Top 12 peaks for 2θ from 5° to 70°, in order of rising 2θ:
2theta	I_rel	h k l
15.10	8	1 1 1
17.45	21	2 0 0
24.78	100	2 2 0
29.15	3	3 1 1
35.33	34	4 0 0
39.67	10	4 2 0
43.64	43	4 2 2
50.83	23	4 4 0
54.16	5	6 0 0
57.35	22	6 2 0
63.42	7	4 4 4
69.18	24	6 4 2

Crystal structure
a = 10.1616 Å, b = 10.1616 Å, c = 10.1616 Å
α = 90.00°, β = 90.00°, γ = 90.00°
Space group Fm-3m (No. 225)
Asymmetric unit:
Cs  0.0000  0.0000  0.0000 (multiplicity 4)
Rb  0.2500  0.2500  0.2500 (multiplicity 8)
Bi  0.0000  0.0000  0.5000 (multiplicity 4)
F  0.0000  0.0000  0.2764 (multiplicity 24)


(3)
For Cs2TlBiF6, a DFT-relaxed cell (GGA-PBE, the Materials Project) gives the theoretical X-ray powder pattern in this record (Cu Kα X-rays).

Top 10 peaks for 2θ from 5° to 70°, in order of rising 2θ:
2theta	I_rel	h k l
17.83	10	2 0 0
25.32	100	2 2 0
36.10	31	4 0 0
40.54	5	4 2 0
44.61	44	4 2 2
51.98	21	4 4 0
55.40	3	6 0 0
58.68	21	6 2 0
64.92	7	4 4 4
67.93	1	6 4 0

Crystal structure
a = 9.9510 Å, b = 9.9510 Å, c = 9.9510 Å
α = 90.00°, β = 90.00°, γ = 90.00°
Space group Fm-3m (No. 225)
Asymmetric unit:
Cs  0.2500  0.2500  0.2500 (multiplicity 8)
Tl  0.0000  0.0000  0.0000 (multiplicity 4)
Bi  0.0000  0.0000  0.5000 (multiplicity 4)
F  0.0000  0.0000  0.2709 (multiplicity 24)


(4)
For CsGeBiS4, a DFT-relaxed cell (GGA-PBE, the Materials Project) gives the theoretical X-ray powder pattern in this record (Cu Kα X-rays).

Top 12 peaks for 2θ from 5° to 70°, in order of rising 2θ:
2theta	I_rel	h k l
9.76	100	0 0 2
18.86	94	1 1 0
23.36	74	0 1 4
23.70	73	1 1 -4
25.33	62	0 2 0
27.72	37	1 0 4
28.60	57	2 0 -4
30.56	66	1 1 4
31.36	45	2 1 -4
37.51	38	1 0 -8
38.26	49	2 2 0
41.87	40	2 1 4

Crystal structure
a = 6.7032 Å, b = 7.0311 Å, c = 19.1921 Å
α = 90.00°, β = 109.20°, γ = 90.00°
Space group P2_1/c (No. 14)
Asymmetric unit:
Cs  0.2059  0.2449  0.4647 (multiplicity 4)
Ge  0.3013  0.7217  0.8380 (multiplicity 4)
Bi  0.2609  0.1934  0.2244 (multiplicity 4)
S  0.0903  0.6606  0.7212 (multiplicity 4)
S  0.0917  0.7449  0.4060 (multiplicity 4)
S  0.4803  0.5241  0.1386 (multiplicity 4)
S  0.4963  0.0191  0.1515 (multiplicity 4)